1.
Calculated PXRD pattern
Compound: CeEr2Te
Radiation: λ = 1.5418 Å (Cu Kα)
Structure: a DFT-relaxed cell (GGA-PBE, Alexandria)

Cell and atoms:
Unit cell a=4.790 b=4.790 c=4.689 alpha=90.00 beta=90.00 gamma=90.00
Space group P4/mmm (No. 123)
Inequivalent atoms, fractional coordinates:
Ce (0.000, 0.000, 0.000) x1
Er (0.000, 0.500, 0.500) x2
Te (0.500, 0.500, 0.000) x1

The 10 most intense peaks (2θ from 10° to 90°), by angle:
2θ/deg  I (rel.)
32.61  100
37.55  34
38.40  16
54.16  12
54.80  23
64.67  28
65.81  13
68.33  12
80.15  4
89.23  6

=====

2.
Calculated PXRD pattern
Compound: NaInTe2
Radiation: λ = 1.5418 Å (Cu Kα)
Structure: a DFT-relaxed cell (GGA-PBE, Alexandria)

Cell and atoms:
Unit cell a=4.474 b=7.696 c=8.880 alpha=90.00 beta=104.48 gamma=90.00
Space group P2_1 (No. 4)
Inequivalent atoms, fractional coordinates:
Na (0.187, 0.000, 0.367) x2
In (0.422, 0.004, 0.844) x2
Te (0.173, 0.407, 0.347) x2
Te (0.423, 0.370, 0.855) x2

The 10 most intense peaks (2θ from 10° to 90°), by angle:
2θ/deg  I (rel.)
15.45  55
20.51  66
23.11  100
23.58  57
23.71  56
25.25  61
32.85  71
40.93  91
43.64  50
64.26  46

=====

3.
Calculated PXRD pattern
Compound: TbTh2Sc2
Radiation: λ = 1.5418 Å (Cu Kα)
Structure: a DFT-relaxed cell (GGA-PBE, Alexandria)

Cell and atoms:
Unit cell a=4.891 b=24.337 c=9.792 alpha=90.00 beta=90.00 gamma=90.00
Space group Cmce (No. 64)
Inequivalent atoms, fractional coordinates:
Tb (0.000, 0.149, 0.117) x8
Th (0.000, 0.049, 0.378) x8
Th (0.000, 0.249, 0.875) x8
Sc (0.000, 0.047, 0.871) x8
Sc (0.000, 0.149, 0.634) x8

The 10 most intense peaks (2θ from 10° to 90°), by angle:
2θ/deg  I (rel.)
11.60  19
23.10  12
31.73  100
36.71  17
36.75  17
36.93  17
53.07  23
63.03  28
63.31  14
66.29  13

=====

4.
Calculated PXRD pattern
Compound: Na4Tm3Te8Pb
Radiation: λ = 1.5418 Å (Cu Kα)
Structure: a DFT-relaxed cell (GGA-PBE, Alexandria)

Cell and atoms:
Unit cell a=8.8396 b=8.8396 c=22.7887 alpha=90.00 beta=90.00 gamma=120.00
Space group R-3m (No. 166, hexagonal axes)
Inequivalent atoms, fractional coordinates:
Na (0.0000, 0.0000, 0.0000) x3
Na (0.0000, 0.5000, 0.0000) x9
Tm (0.0000, 0.5000, 0.5000) x9
Te (0.0000, 0.0000, 0.2429) x6
Te (0.0114, 0.5057, 0.7561) x18
Pb (0.0000, 0.0000, 0.5000) x3

The 10 most intense peaks (2θ from 10° to 90°), by angle:
2θ/deg  I (rel.)
11.65  41
23.57  16
28.09  100
36.22  12
39.43  39
40.83  37
50.29  20
58.06  12
64.72  16
66.70  16

=====

5.
Calculated PXRD pattern
Compound: Al3Ag5
Radiation: λ = 1.5418 Å (Cu Kα)
Structure: a DFT-relaxed cell (GGA-PBE, Alexandria)

Cell and atoms:
Unit cell a=2.918 b=2.918 c=16.148 alpha=90.00 beta=90.00 gamma=90.00
Space group P4mm (No. 99)
Inequivalent atoms, fractional coordinates:
Al (0.000, 0.000, 0.000) x1
Al (0.000, 0.000, 0.498) x1
Al (0.500, 0.500, 0.372) x1
Ag (0.000, 0.000, 0.252) x1
Ag (0.000, 0.000, 0.751) x1
Ag (0.500, 0.500, 0.116) x1
Ag (0.500, 0.500, 0.618) x1
Ag (0.500, 0.500, 0.883) x1

The 10 most intense peaks (2θ from 10° to 90°), by angle:
2θ/deg  I (rel.)
10.96  29
32.63  19
38.05  100
43.88  34
44.91  14
63.79  10
64.59  18
76.76  24
78.23  9
81.38  10

=====

6.
Calculated PXRD pattern
Compound: Tb2Nd2Se3S2
Radiation: λ = 1.5418 Å (Cu Kα)
Structure: a DFT-relaxed cell (GGA-PBE, Alexandria)

Cell and atoms:
Unit cell a=5.660 b=5.660 c=14.470 alpha=90.00 beta=90.00 gamma=90.00
Space group I4/mmm (No. 139)
Inequivalent atoms, fractional coordinates:
Tb (0.000, 0.500, 0.000) x4
Nd (0.000, 0.000, 0.212) x4
Se (0.000, 0.000, 0.000) x2
Se (0.000, 0.500, 0.250) x4
S (0.000, 0.000, 0.403) x4

The 10 most intense peaks (2θ from 10° to 90°), by angle:
2θ/deg  I (rel.)
24.61  51
25.43  39
31.61  100
33.39  16
34.82  32
40.47  56
45.32  36
47.73  26
52.24  27
75.05  16